[1]
Diffraction record for InGa5. The PXRD pattern is simulated, not measured: it uses DFT lattice parameters and positions (PBE) and Cu Ka.

Unit cell a=6.4068 b=6.4068 c=6.4068 alpha=147.14 beta=115.62 gamma=74.19
Fractional positions:
In1 0.0000 0.0000 0.0000
Ga1 0.1332 0.3450 0.7882
Ga2 0.4431 0.6550 0.7882
Ga3 0.5000 0.0000 0.5000
Ga4 0.5569 0.3450 0.2118
Ga5 0.8668 0.6550 0.2118

Most intense lines, 2θ from 10° to 90°, by angle:
| Position (°2θ) | I_rel |
| --- | --- |
| 31.52 | 52 |
| 36.19 | 100 |
| 37.24 | 92 |
| 44.28 | 36 |
| 50.36 | 20 |
| 60.63 | 17 |
| 66.49 | 18 |
| 69.27 | 18 |



[2]
Diffraction record for In3Ga11. The PXRD pattern is simulated, not measured: it uses DFT lattice parameters and positions (PBE) and Cu Ka.

Unit cell a=8.4824 b=8.4824 c=9.7930 alpha=125.24 beta=125.24 gamma=31.48
Fractional positions:
In1 0.0000 0.0000 0.0000
In2 0.2800 0.2800 0.2801
In3 0.7200 0.7200 0.7199
Ga1 0.0000 0.0000 0.5000
Ga2 0.1529 0.1529 0.4484
Ga3 0.1530 0.1530 0.8576
Ga4 0.3601 0.3601 0.7241
Ga5 0.3599 0.3599 0.9951
Ga6 0.4995 0.4995 0.3402
Ga7 0.5005 0.5005 0.6598
Ga8 0.6401 0.6401 0.0049
Ga9 0.6399 0.6399 0.2759
Ga10 0.8470 0.8470 0.1424
Ga11 0.8471 0.8471 0.5516

Most intense lines, 2θ from 10° to 90°, by angle:
| Position (°2θ) | I_rel |
| --- | --- |
| 32.96 | 28 |
| 33.70 | 100 |
| 34.90 | 51 |
| 36.44 | 30 |
| 39.15 | 43 |
| 42.39 | 25 |
| 52.08 | 15 |
| 66.13 | 21 |



[3]
Diffraction record for In3Ga. The PXRD pattern is simulated, not measured: it uses DFT lattice parameters and positions (PBE) and Cu Ka.

Unit cell a=4.3666 b=8.7188 c=5.3501 alpha=90.00 beta=90.00 gamma=90.00
Fractional positions:
In1 0.2500 0.0177 0.2460
In2 0.2500 0.2500 0.7791
In3 0.2500 0.4823 0.2460
In4 0.7500 0.5177 0.7540
In5 0.7500 0.7500 0.2209
In6 0.7500 0.9823 0.7540
Ga1 0.2500 0.7500 0.6482
Ga2 0.7500 0.2500 0.3518

Most intense lines, 2θ from 10° to 90°, by angle:
| Position (°2θ) | I_rel |
| --- | --- |
| 33.53 | 100 |
| 35.12 | 7 |
| 41.39 | 24 |
| 54.26 | 16 |
| 59.94 | 16 |
| 70.44 | 17 |
| 70.54 | 7 |
| 89.88 | 6 |



[4]
Diffraction record for InGa4. The PXRD pattern is simulated, not measured: it uses DFT lattice parameters and positions (PBE) and Cu Ka.

Unit cell a=6.4525 b=6.3883 c=4.3638 alpha=70.93 beta=69.34 gamma=39.73
Fractional positions:
In1 0.0000 0.0000 0.0000
Ga1 0.2500 0.2500 0.2500
Ga2 0.3883 0.3883 0.6117
Ga3 0.6117 0.6117 0.3883
Ga4 0.7500 0.7500 0.7500

Most intense lines, 2θ from 10° to 90°, by angle:
| Position (°2θ) | I_rel |
| --- | --- |
| 31.45 | 93 |
| 32.56 | 96 |
| 33.69 | 88 |
| 41.42 | 100 |
| 45.32 | 59 |
| 62.37 | 22 |
| 69.32 | 29 |
| 81.38 | 22 |